Record 1
# Bi2Os2Pd
Theoretical powder diffractogram, Cu Ka. Input: a crystal structure in Alexandria, relaxed with PBE.
Peak positions follow from Bragg's law for the DFT cell and can differ from measured ones.

Largest 10 diffraction maxima, low angle first, 2θ = 10–80°:
2θ (°)  I (rel.)
18.03  10
33.44  29
35.91  100
41.02  24
43.05  20
47.08  12
58.98  11
60.97  15
72.88  9
74.25  13

Structural model:
```
Bi2Os2Pd
1.0
6.958 0.000 0.000
0.000 6.958 0.000
0.000 0.000 4.203
Bi Os Pd
4 4 2
Direct
0.180 0.320 0.000
0.320 0.820 0.000
0.680 0.180 0.000
0.820 0.680 0.000
0.124 0.624 0.500
0.376 0.124 0.500
0.624 0.876 0.500
0.876 0.376 0.500
0.000 0.000 0.500
0.500 0.500 0.500
```

=====

Record 2
# Bi2OsRhSe
Theoretical powder diffractogram, Cu Ka. Input: a crystal structure in Alexandria, relaxed with PBE.
Peak positions follow from Bragg's law for the DFT cell and can differ from measured ones.

Largest 10 diffraction maxima, low angle first, 2θ = 10–80°:
2θ (°)  I (rel.)
25.71  10
30.51  100
32.63  66
40.39  19
46.81  25
52.85  35
56.92  36
63.51  20
67.36  11
77.83  11

Structural model:
```
Bi2OsRhSe
1.0
5.489 0.000 0.000
0.000 5.489 0.000
0.000 0.000 4.467
Bi Os Rh Se
2 1 1 1
Direct
0.000 0.500 0.000
0.500 0.000 0.000
0.000 0.000 0.500
0.500 0.500 0.500
0.500 0.500 0.000
```

=====

Record 3
# Sc4BiOs
Theoretical powder diffractogram, Cu Ka. Input: a crystal structure in Alexandria, relaxed with PBE.
Peak positions follow from Bragg's law for the DFT cell and can differ from measured ones.

Largest 10 diffraction maxima, low angle first, 2θ = 10–80°:
2θ (°)  I (rel.)
21.44  34
23.55  100
25.99  42
29.26  49
33.87  37
36.56  52
36.79  53
37.02  44
37.68  32
46.28  46

Structural model:
```
Sc4BiOs
1.0
5.365 0.000 0.000
0.000 6.105 0.000
-1.335 0.000 8.151
Sc Bi Os
8 2 2
Direct
0.142 0.250 0.056
0.210 0.750 0.324
0.322 0.507 0.757
0.322 0.993 0.757
0.678 0.007 0.243
0.678 0.493 0.243
0.790 0.250 0.676
0.858 0.750 0.944
0.225 0.250 0.427
0.775 0.750 0.573
0.369 0.750 0.037
0.631 0.250 0.963
```

=====

Record 4
# BiOsSe
Theoretical powder diffractogram, Cu Ka. Input: a crystal structure in Alexandria, relaxed with PBE.
Peak positions follow from Bragg's law for the DFT cell and can differ from measured ones.

Largest 10 diffraction maxima, low angle first, 2θ = 10–80°:
2θ (°)  I (rel.)
21.09  73
29.36  65
30.44  35
31.96  90
32.50  100
37.92  34
43.30  46
43.40  54
44.98  44
48.97  56

Structural model:
```
BiOsSe
1.0
6.620 0.000 0.000
0.000 6.491 0.000
-2.630 0.000 6.093
Bi Os Se
4 4 4
Direct
0.144 0.139 0.378
0.144 0.361 0.878
0.856 0.639 0.122
0.856 0.861 0.622
0.297 0.514 0.303
0.297 0.986 0.803
0.703 0.014 0.197
0.703 0.486 0.697
0.353 0.636 0.678
0.353 0.864 0.178
0.647 0.136 0.822
0.647 0.364 0.322
```

=====

Record 5
# Th4BiOsSe2
Theoretical powder diffractogram, Cu Ka. Input: a crystal structure in Alexandria, relaxed with PBE.
Peak positions follow from Bragg's law for the DFT cell and can differ from measured ones.

Largest 10 diffraction maxima, low angle first, 2θ = 10–80°:
2θ (°)  I (rel.)
12.48  16
28.75  53
29.20  100
40.48  17
40.76  37
42.11  39
43.02  21
52.56  21
60.54  11
66.74  13

Structural model:
```
Th4BiOsSe2
1.0
7.486 0.000 0.000
0.000 4.206 0.000
-2.504 0.000 7.403
Th Bi Os Se
4 1 1 2
Direct
0.221 0.000 0.213
0.253 0.500 0.781
0.747 0.500 0.219
0.779 0.000 0.787
0.000 0.000 0.500
0.000 0.500 0.000
0.500 0.000 0.000
0.500 0.500 0.500
```

=====

Record 6
# Sm4BiOs
Theoretical powder diffractogram, Cu Ka. Input: a crystal structure in Alexandria, relaxed with PBE.
Peak positions follow from Bragg's law for the DFT cell and can differ from measured ones.

Largest 10 diffraction maxima, low angle first, 2θ = 10–80°:
2θ (°)  I (rel.)
12.85  32
29.06  29
30.16  23
30.33  51
33.45  100
34.25  30
34.51  42
37.69  27
40.14  23
58.60  23

Structural model:
```
Sm4BiOs
1.0
4.548 -6.889 0.000
4.548 6.889 0.000
-2.452 0.000 5.814
Sm Bi Os
8 2 2
Direct
0.059 0.724 0.935
0.207 0.348 0.646
0.276 0.941 0.565
0.348 0.207 0.146
0.652 0.793 0.854
0.724 0.059 0.435
0.793 0.652 0.354
0.941 0.276 0.065
0.373 0.627 0.250
0.627 0.373 0.750
0.000 0.000 0.250
0.000 0.000 0.750
```

=====

Record 7
# Th4Bi5Os
Theoretical powder diffractogram, Cu Ka. Input: a crystal structure in Alexandria, relaxed with PBE.
Peak positions follow from Bragg's law for the DFT cell and can differ from measured ones.

Largest 10 diffraction maxima, low angle first, 2θ = 10–80°:
2θ (°)  I (rel.)
23.96  31
28.83  48
31.01  100
31.34  15
31.61  34
34.47  16
34.83  29
40.79  32
44.64  16
58.60  18

Structural model:
```
Th4Bi5Os
1.0
9.340 -2.212 0.000
9.340 2.212 0.000
-2.311 0.000 8.250
Th Bi Os
4 5 1
Direct
0.043 0.043 0.227
0.361 0.361 0.060
0.639 0.639 0.940
0.957 0.957 0.773
0.136 0.136 0.638
0.216 0.216 0.223
0.500 0.500 0.500
0.784 0.784 0.777
0.864 0.864 0.362
0.500 0.500 0.000
```

=====

Record 8
# Ti2BiOsW
Theoretical powder diffractogram, Cu Ka. Input: a crystal structure in Alexandria, relaxed with PBE.
Peak positions follow from Bragg's law for the DFT cell and can differ from measured ones.

Largest 10 diffraction maxima, low angle first, 2θ = 10–80°:
2θ (°)  I (rel.)
18.82  45
26.74  100
32.11  49
35.29  48
38.18  78
44.83  52
52.97  61
55.10  27
67.15  30
73.66  26

Structural model:
```
Ti2BiOsW
1.0
4.714 0.000 0.000
0.000 4.714 0.000
0.000 0.000 5.086
Ti Bi Os W
2 1 1 1
Direct
0.000 0.500 0.000
0.500 0.000 0.000
0.000 0.000 0.500
0.000 0.000 0.000
0.500 0.500 0.500
```

=====

Record 9
# Tm7Bi2Os2
Theoretical powder diffractogram, Cu Ka. Input: a crystal structure in Alexandria, relaxed with PBE.
Peak positions follow from Bragg's law for the DFT cell and can differ from measured ones.

Largest 10 diffraction maxima, low angle first, 2θ = 10–80°:
2θ (°)  I (rel.)
30.34  32
33.05  100
33.19  16
33.94  48
34.23  48
37.29  18
38.81  18
38.97  34
45.53  30
57.99  21

Structural model:
```
Tm7Bi2Os2
1.0
-1.992 8.097 4.543
1.992 -8.097 4.543
1.992 8.097 -4.543
Tm Bi Os
7 2 2
Direct
0.000 0.000 0.000
0.279 0.414 0.865
0.306 0.622 0.684
0.548 0.414 0.135
0.590 0.251 0.340
0.911 0.251 0.660
0.938 0.622 0.316
0.260 0.760 0.500
0.666 0.666 0.000
0.174 0.932 0.243
0.689 0.932 0.757
```

=====

Record 10
# Tm8BiOs2
Theoretical powder diffractogram, Cu Ka. Input: a crystal structure in Alexandria, relaxed with PBE.
Peak positions follow from Bragg's law for the DFT cell and can differ from measured ones.

Largest 10 diffraction maxima, low angle first, 2θ = 10–80°:
2θ (°)  I (rel.)
27.16  45
31.13  89
32.24  41
32.55  79
32.66  67
33.49  51
33.72  25
36.98  100
37.89  41
39.17  64

Structural model:
```
Tm8BiOs2
1.0
5.582 0.000 0.000
-1.417 7.401 0.000
-2.079 -3.701 7.121
Tm Bi Os
8 1 2
Direct
0.000 0.000 0.000
0.026 0.821 0.311
0.309 0.312 0.622
0.393 0.909 0.741
0.499 0.403 0.077
0.618 0.038 0.311
0.736 0.636 0.546
0.961 0.477 0.881
0.087 0.433 0.310
0.577 0.691 0.959
0.929 0.042 0.662
```

=====

Record 11
# BiP
Theoretical powder diffractogram, Cu Ka. Input: a crystal structure in Alexandria, relaxed with PBE.
Peak positions follow from Bragg's law for the DFT cell and can differ from measured ones.

Largest 10 diffraction maxima, low angle first, 2θ = 10–80°:
2θ (°)  I (rel.)
15.58  92
27.93  37
28.34  100
31.45  33
35.60  16
36.16  17
36.33  17
36.49  17
38.71  38
42.22  17

Structural model:
```
BiP
1.0
3.275 0.000 0.000
-1.612 5.964 0.000
-0.001 -1.985 6.307
Bi P
2 2
Direct
0.003 0.497 0.255
0.997 0.503 0.745
0.237 0.974 0.381
0.763 0.026 0.619
```

=====

Record 12
# Bi2PPd5
Theoretical powder diffractogram, Cu Ka. Input: a crystal structure in Alexandria, relaxed with PBE.
Peak positions follow from Bragg's law for the DFT cell and can differ from measured ones.

Largest 10 diffraction maxima, low angle first, 2θ = 10–80°:
2θ (°)  I (rel.)
20.72  17
29.75  23
36.54  100
42.10  19
42.24  18
42.99  18
61.16  12
73.29  12
73.49  12
74.55  13

Structural model:
```
Bi2PPd5
1.0
0.000 4.293 4.208
4.280 0.000 4.208
4.280 4.293 0.000
Bi P Pd
2 1 5
Direct
0.000 0.000 0.500
0.500 0.500 0.000
0.216 0.216 0.784
0.498 0.498 0.502
0.520 0.988 0.012
0.522 0.988 0.478
0.988 0.520 0.480
0.988 0.522 0.012
```